# 1
Structure and theoretical powder X-ray diffraction pattern of BePH4NO4 (a cell relaxed with GGA-PBE; Cu Kα (λ = 1.5418 Å)).
Peak positions follow from Bragg's law for the DFT cell and can differ from measured ones.

Largest 8 diffraction maxima, in order of falling intensity, 2θ from 10° to 90°:
- 2θ = 29.1°, intensity 100, hkl 1 2 1
- 2θ = 14.3°, intensity 90, hkl 1 1 0
- 2θ = 28.9°, intensity 87, hkl 2 2 0
- 2θ = 20.2°, intensity 59, hkl 2 0 0
- 2θ = 22.9°, intensity 57, hkl 1 1 1
- 2θ = 20.5°, intensity 51, hkl 0 1 1
- 2θ = 35.8°, intensity 32, hkl 0 3 1
- 2θ = 36.1°, intensity 29, hkl 0 0 2

Crystal structure
Cell: 8.809 8.704 4.982 Å, 90.00 90.00 90.00°
Space group Pna2_1 (No. 33)
Unique sites:
Be: 0.173 0.094 0.000 (multiplicity 4)
P: 0.184 0.914 0.500 (multiplicity 4)
H: 0.006 0.217 0.652 (multiplicity 4)
H: 0.012 0.275 0.330 (multiplicity 4)
H: 0.096 0.630 0.063 (multiplicity 4)
H: 0.101 0.377 0.576 (multiplicity 4)
N: 0.005 0.311 0.526 (multiplicity 4)
O: 0.011 0.888 0.506 (multiplicity 4)
O: 0.231 0.043 0.699 (multiplicity 4)
O: 0.235 0.965 0.214 (multiplicity 4)
O: 0.236 0.264 0.076 (multiplicity 4)

# 2
Structure and theoretical powder X-ray diffraction pattern of BeTeH2N (a cell relaxed with GGA-PBE; Cu Kα (λ = 1.5418 Å)).
Peak positions follow from Bragg's law for the DFT cell and can differ from measured ones.

Largest 8 diffraction maxima, in order of falling intensity, 2θ from 10° to 90°:
- 2θ = 16.2°, intensity 100, hkl 0 0 1
- 2θ = 32.6°, intensity 47, hkl 1 0 1
- 2θ = 28.1°, intensity 44, hkl 1 0 0
- 2θ = 43.5°, intensity 35, hkl 1 1 1
- 2θ = 43.6°, intensity 27, hkl 1 0 2
- 2θ = 40.1°, intensity 24, hkl 1 1 0
- 2θ = 32.7°, intensity 24, hkl 0 0 2
- 2θ = 68.2°, intensity 22, hkl 2 0 2

Crystal structure
Cell: 3.180 3.180 5.478 Å, 90.00 90.00 90.00°
Space group P4/mmm (No. 123)
Unique sites:
Be: 0.000 0.000 0.000 (multiplicity 1)
Te: 0.000 0.000 0.500 (multiplicity 1)
H: 0.000 0.500 0.000 (multiplicity 2)
N: 0.500 0.500 0.500 (multiplicity 1)

Q: Number 1 is which compound?
A: BePH4NO4